Entry 1:
The following is a simulated powder diffraction line list of Na2Mg2SnGePd2. It was derived from a GGA-PBE-relaxed structure, using a wavelength of 1.5418 Å.
Kinematic intensities with the Lorentz-polarization factor, no thermal factor.

Peak list (6 most intense, 2θ from 10° to 90°, low angle first)
2θ (°)  I_rel  (hkl)
23.12  69  1 0 1
38.15  100  1 1 2
38.32  50  2 0 0
45.23  23  2 1 1
55.31  17  2 2 0
69.17  34  3 1 2

Structure:
```
data_Na2Mg2SnGePd2
_cell_length_a 4.698
_cell_length_b 4.698
_cell_length_c 6.703
_cell_angle_alpha 90.00
_cell_angle_beta 90.00
_cell_angle_gamma 90.00
_space_group_name_H-M_alt 'P -4 m 2'
_space_group_IT_number 115
loop_
_space_group_symop_operation_xyz
'x,y,z'
'y,-x,-z'
'-x,-y,z'
'-y,x,-z'
'-x,y,z'
'-y,-x,-z'
'x,-y,z'
'y,x,-z'
loop_
_atom_site_label
_atom_site_fract_x
_atom_site_fract_y
_atom_site_fract_z
Na1 0.000 0.500 0.236
Mg1 0.000 0.000 0.000
Mg2 0.500 0.500 0.500
Sn1 0.000 0.000 0.500
Ge1 0.500 0.500 0.000
Pd1 0.000 0.500 0.758
```


Entry 2:
The following is a simulated powder diffraction line list of Nd4Mg7Ge6. It was derived from a GGA-PBE-relaxed structure, using a wavelength of 1.5418 Å.
Kinematic intensities with the Lorentz-polarization factor, no thermal factor.

Peak list (6 most intense, 2θ from 10° to 90°, low angle first)
2θ (°)  I_rel  (hkl)
29.87  47  3 1 -3
30.24  77  1 1 -3
33.62  91  5 1 -2
35.04  62  3 1 -4
37.61  100  3 1 2
40.71  66  0 2 0

Structure:
```
data_Nd4Mg7Ge6
_cell_length_a 16.682
_cell_length_b 4.433
_cell_length_c 12.556
_cell_angle_alpha 90.00
_cell_angle_beta 122.38
_cell_angle_gamma 90.00
_space_group_name_H-M_alt 'C 1 2/m 1'
_space_group_IT_number 12
loop_
_space_group_symop_operation_xyz
'x,y,z'
'-x,-y,-z'
'-x,y,-z'
'x,-y,z'
'x+1/2,y+1/2,z'
'-x+1/2,-y+1/2,-z'
'-x+1/2,y+1/2,-z'
'x+1/2,-y+1/2,z'
loop_
_atom_site_label
_atom_site_fract_x
_atom_site_fract_y
_atom_site_fract_z
Nd1 0.130 0.000 0.339
Nd2 0.233 0.000 0.113
Mg1 0.000 0.000 0.000
Mg2 0.040 0.500 0.639
Mg3 0.062 0.500 0.897
Mg4 0.190 0.000 0.653
Ge1 0.109 0.000 0.812
Ge2 0.121 0.500 0.152
Ge3 0.150 0.500 0.523
```


Entry 3:
The following is a simulated powder diffraction line list of MgNiGe. It was derived from a GGA-PBE-relaxed structure, using a wavelength of 1.5418 Å.
Kinematic intensities with the Lorentz-polarization factor, no thermal factor.

Peak list (6 most intense, 2θ from 10° to 90°, low angle first)
2θ (°)  I_rel  (hkl)
25.65  66  0 1 1
36.21  71  1 1 2
38.58  100  2 1 1
43.19  69  0 1 3
45.64  72  1 1 3
46.21  66  0 2 0

Structure:
```
data_MgNiGe
_cell_length_a 6.302
_cell_length_b 3.929
_cell_length_c 7.427
_cell_angle_alpha 90.00
_cell_angle_beta 90.00
_cell_angle_gamma 90.00
_space_group_name_H-M_alt 'P n m a'
_space_group_IT_number 62
loop_
_space_group_symop_operation_xyz
'x,y,z'
'-x,-y,-z'
'-x+1/2,-y,z+1/2'
'x+1/2,y,-z+1/2'
'x+1/2,-y+1/2,-z+1/2'
'-x+1/2,y+1/2,z+1/2'
'-x,y+1/2,-z'
'x,-y+1/2,z'
loop_
_atom_site_label
_atom_site_fract_x
_atom_site_fract_y
_atom_site_fract_z
Mg1 0.024 0.250 0.175
Ni1 0.214 0.750 0.366
Ge1 0.166 0.250 0.558
```


Entry 4:
The following is a simulated powder diffraction line list of Mg2Zn2GePb. It was derived from a GGA-PBE-relaxed structure, using a wavelength of 1.5418 Å.
Kinematic intensities with the Lorentz-polarization factor, no thermal factor.

Peak list (6 most intense, 2θ from 10° to 90°, low angle first)
2θ (°)  I_rel  (hkl)
24.13  100  3 0 -1
27.93  26  2 0 2
39.78  22  0 2 0
39.91  80  4 1 0
47.12  25  3 2 -1
47.24  24  3 1 -5

Structure:
```
data_Mg2Zn2GePb
_cell_length_a 11.043
_cell_length_b 4.532
_cell_length_c 11.049
_cell_angle_alpha 90.00
_cell_angle_beta 109.35
_cell_angle_gamma 90.00
_space_group_name_H-M_alt 'P 1 m 1'
_space_group_IT_number 6
loop_
_space_group_symop_operation_xyz
'x,y,z'
'x,-y,z'
loop_
_atom_site_label
_atom_site_fract_x
_atom_site_fract_y
_atom_site_fract_z
Mg1 0.000 0.000 0.000
Mg2 0.108 0.500 0.359
Mg3 0.233 0.000 0.729
Mg4 0.387 0.500 0.125
Mg5 0.514 0.000 0.518
Mg6 0.628 0.500 0.879
Mg7 0.744 0.000 0.252
Mg8 0.869 0.500 0.645
Zn1 0.100 0.500 0.601
Zn2 0.271 0.000 0.994
Zn3 0.375 0.500 0.380
Zn4 0.508 0.000 0.770
Zn5 0.633 0.500 0.122
Zn6 0.769 0.000 0.518
Zn7 0.871 0.500 0.891
Zn8 0.981 0.000 0.242
Ge1 0.512 0.000 0.008
Ge2 0.754 0.000 0.761
Ge3 0.870 0.500 0.126
Ge4 0.995 0.000 0.490
Pb1 0.128 0.500 0.873
Pb2 0.248 0.000 0.246
Pb3 0.373 0.500 0.632
Pb4 0.631 0.500 0.383
```


Entry 5:
The following is a simulated powder diffraction line list of Pr4Mg5Ge6. It was derived from a GGA-PBE-relaxed structure, using a wavelength of 1.5418 Å.
Kinematic intensities with the Lorentz-polarization factor, no thermal factor.

Peak list (6 most intense, 2θ from 10° to 90°, low angle first)
2θ (°)  I_rel  (hkl)
29.26  33  0 2 5
29.89  40  1 5 0
30.25  66  1 1 4
30.42  38  1 5 1
34.39  100  1 5 3
40.20  55  2 0 0

Structure:
```
data_Pr4Mg5Ge6
_cell_length_a 4.486
_cell_length_b 20.040
_cell_length_c 16.017
_cell_angle_alpha 90.00
_cell_angle_beta 90.00
_cell_angle_gamma 90.00
_space_group_name_H-M_alt 'C m c 21'
_space_group_IT_number 36
loop_
_space_group_symop_operation_xyz
'x,y,z'
'-x,-y,z+1/2'
'-x,y,z'
'x,-y,z+1/2'
'x+1/2,y+1/2,z'
'-x+1/2,-y+1/2,z+1/2'
'-x+1/2,y+1/2,z'
'x+1/2,-y+1/2,z+1/2'
loop_
_atom_site_label
_atom_site_fract_x
_atom_site_fract_y
_atom_site_fract_z
Pr1 0.000 0.013 0.000
Pr2 0.000 0.033 0.263
Pr3 0.000 0.165 0.801
Pr4 0.000 0.175 0.442
Mg1 0.000 0.155 0.122
Mg2 0.000 0.303 0.119
Mg3 0.000 0.339 0.766
Mg4 0.000 0.350 0.478
Mg5 0.000 0.442 0.168
Ge1 0.000 0.113 0.618
Ge2 0.000 0.226 0.978
Ge3 0.000 0.232 0.265
Ge4 0.000 0.428 0.626
Ge5 0.000 0.433 0.901
Ge6 0.000 0.445 0.350
```


Entry 6:
The following is a simulated powder diffraction line list of MgZn2GePt4. It was derived from a GGA-PBE-relaxed structure, using a wavelength of 1.5418 Å.
Kinematic intensities with the Lorentz-polarization factor, no thermal factor.

Peak list (6 most intense, 2θ from 10° to 90°, low angle first)
2θ (°)  I_rel  (hkl)
24.48  23  0 0 2
31.00  26  1 1 0
39.89  100  1 1 2
44.42  37  2 0 0
69.23  19  2 0 4
78.71  28  3 1 2

Structure:
```
data_MgZn2GePt4
_cell_length_a 4.079
_cell_length_b 4.079
_cell_length_c 7.272
_cell_angle_alpha 90.00
_cell_angle_beta 90.00
_cell_angle_gamma 90.00
_space_group_name_H-M_alt 'P 4/m m m'
_space_group_IT_number 123
_space_group_name_Hall '-P 4 2'
loop_
_atom_site_label
_atom_site_fract_x
_atom_site_fract_y
_atom_site_fract_z
Mg1 0.000 0.000 0.000
Zn1 0.000 0.000 0.500
Zn2 0.500 0.500 0.000
Ge1 0.500 0.500 0.500
Pt1 0.000 0.500 0.259
```


Entry 7:
The following is a simulated powder diffraction line list of Sm4Mg7Ge6. It was derived from a GGA-PBE-relaxed structure, using a wavelength of 1.5418 Å.
Kinematic intensities with the Lorentz-polarization factor, no thermal factor.

Peak list (6 most intense, 2θ from 10° to 90°, low angle first)
2θ (°)  I_rel  (hkl)
30.09  50  3 1 -3
30.44  76  1 1 -3
33.88  92  5 1 -2
35.30  64  3 1 -4
37.86  100  3 1 2
40.98  65  0 2 0

Structure:
```
data_Sm4Mg7Ge6
_cell_length_a 16.548
_cell_length_b 4.404
_cell_length_c 12.466
_cell_angle_alpha 90.00
_cell_angle_beta 122.29
_cell_angle_gamma 90.00
_space_group_name_H-M_alt 'C 1 2/m 1'
_space_group_IT_number 12
loop_
_space_group_symop_operation_xyz
'x,y,z'
'-x,-y,-z'
'-x,y,-z'
'x,-y,z'
'x+1/2,y+1/2,z'
'-x+1/2,-y+1/2,-z'
'-x+1/2,y+1/2,-z'
'x+1/2,-y+1/2,z'
loop_
_atom_site_label
_atom_site_fract_x
_atom_site_fract_y
_atom_site_fract_z
Sm1 0.130 0.000 0.338
Sm2 0.233 0.000 0.113
Mg1 0.000 0.000 0.000
Mg2 0.041 0.500 0.639
Mg3 0.063 0.500 0.897
Mg4 0.190 0.000 0.653
Ge1 0.111 0.000 0.813
Ge2 0.121 0.500 0.153
Ge3 0.150 0.500 0.521
```


Entry 8:
The following is a simulated powder diffraction line list of Sc2Ge3Mo4N3. It was derived from a GGA-PBE-relaxed structure, using a wavelength of 1.5418 Å.
Kinematic intensities with the Lorentz-polarization factor, no thermal factor.

Peak list (6 most intense, 2θ from 10° to 90°, low angle first)
2θ (°)  I_rel  (hkl)
18.75  14  1 1 0
32.69  20  3 1 -1
38.95  49  0 2 3
39.15  100  3 1 2
42.68  26  0 0 6
58.03  19  3 3 -1

Structure:
```
data_Sc2Ge3Mo4N3
_cell_length_a 9.468
_cell_length_b 5.519
_cell_length_c 13.089
_cell_angle_alpha 90.00
_cell_angle_beta 103.79
_cell_angle_gamma 90.00
_space_group_name_H-M_alt 'C 1 2/c 1'
_space_group_IT_number 15
loop_
_space_group_symop_operation_xyz
'x,y,z'
'-x,-y,-z'
'-x,y,-z+1/2'
'x,-y,z+1/2'
'x+1/2,y+1/2,z'
'-x+1/2,-y+1/2,-z'
'-x+1/2,y+1/2,-z+1/2'
'x+1/2,-y+1/2,z+1/2'
loop_
_atom_site_label
_atom_site_fract_x
_atom_site_fract_y
_atom_site_fract_z
Sc1 0.053 0.085 0.399
Ge1 0.000 0.464 0.250
Ge2 0.189 0.107 0.749
Mo1 0.113 0.431 0.582
Mo2 0.215 0.408 0.918
N1 0.077 0.234 0.000
N2 0.250 0.250 0.500
```


Entry 9:
The following is a simulated powder diffraction line list of Ge2Mo3Pt4. It was derived from a GGA-PBE-relaxed structure, using a wavelength of 1.5418 Å.
Kinematic intensities with the Lorentz-polarization factor, no thermal factor.

Peak list (6 most intense, 2θ from 10° to 90°, low angle first)
2θ (°)  I_rel  (hkl)
23.45  21  1 1 0
40.13  92  1 1 1
41.22  100  3 0 0
42.52  26  2 0 1
58.89  23  2 2 1
81.90  28  3 0 2

Structure:
```
data_Ge2Mo3Pt4
_cell_length_a 7.5865
_cell_length_b 7.5865
_cell_length_c 2.7889
_cell_angle_alpha 90.00
_cell_angle_beta 90.00
_cell_angle_gamma 120.00
_space_group_name_H-M_alt 'P -6'
_space_group_IT_number 174
loop_
_space_group_symop_operation_xyz
'x,y,z'
'-x+y,-x,-z'
'-y,x-y,z'
'x,y,-z'
'-x+y,-x,z'
'-y,x-y,-z'
loop_
_atom_site_label
_atom_site_fract_x
_atom_site_fract_y
_atom_site_fract_z
Ge1 0.0000 0.0000 0.0000
Ge2 0.3333 0.6667 0.5000
Mo1 0.3688 0.3618 0.0000
Pt1 0.0047 0.3036 0.5000
Pt2 0.6667 0.3333 0.5000
```


Entry 10:
The following is a simulated powder diffraction line list of Rb4GeTe6Mo. It was derived from a GGA-PBE-relaxed structure, using a wavelength of 1.5418 Å.
Kinematic intensities with the Lorentz-polarization factor, no thermal factor.

Peak list (6 most intense, 2θ from 10° to 90°, low angle first)
2θ (°)  I_rel  (hkl)
23.76  62  2 1 1
24.32  100  0 2 1
24.82  97  0 1 -2
25.15  46  2 1 0
28.42  67  0 1 3
34.50  50  -2 1 1

Structure:
```
data_Rb4GeTe6Mo
_cell_length_a 7.539
_cell_length_b 8.002
_cell_length_c 10.110
_cell_angle_alpha 71.84
_cell_angle_beta 72.35
_cell_angle_gamma 67.98
_space_group_name_H-M_alt 'P 1'
_space_group_IT_number 1
loop_
_space_group_symop_operation_xyz
'x,y,z'
loop_
_atom_site_label
_atom_site_fract_x
_atom_site_fract_y
_atom_site_fract_z
Rb1 0.000 0.000 0.000
Rb2 0.218 0.348 0.224
Rb3 0.513 0.298 0.579
Rb4 0.755 0.619 0.782
Ge1 0.227 0.873 0.585
Te1 0.030 0.214 0.616
Te2 0.168 0.779 0.359
Te3 0.238 0.615 0.821
Te4 0.508 0.011 0.978
Te5 0.594 0.844 0.403
Te6 0.710 0.426 0.179
Mo1 0.514 0.757 0.207
```


Entry 11:
The following is a simulated powder diffraction line list of ReGeMo2. It was derived from a GGA-PBE-relaxed structure, using a wavelength of 1.5418 Å.
Kinematic intensities with the Lorentz-polarization factor, no thermal factor.

Peak list (6 most intense, 2θ from 10° to 90°, low angle first)
2θ (°)  I_rel  (hkl)
24.69  9  1 1 1
28.59  7  2 0 0
40.87  100  2 2 0
59.18  17  4 0 0
74.42  34  4 2 2
88.58  11  4 4 0

Structure:
```
data_ReGeMo2
_cell_length_a 6.245
_cell_length_b 6.245
_cell_length_c 6.245
_cell_angle_alpha 90.00
_cell_angle_beta 90.00
_cell_angle_gamma 90.00
_space_group_name_H-M_alt 'F -4 3 m'
_space_group_IT_number 216
_space_group_name_Hall 'F -4 2 3'
loop_
_atom_site_label
_atom_site_fract_x
_atom_site_fract_y
_atom_site_fract_z
Re1 0.000 0.000 0.000
Ge1 0.250 0.250 0.750
Mo1 0.000 0.000 0.500
Mo2 0.250 0.250 0.250
```